# 1
The following is a simulated powder XRD pattern of La3Ir. It was derived from a cell relaxed with GGA-PBE, using copper Kα.
Intensities are scaled so that the largest is 100.

Top 12 peaks for 2θ from 10° to 90°, low angle first:
Position (°2θ), I (rel.)
10.30, 25
28.97, 66
29.43, 24
29.78, 47
32.99, 100
33.31, 34
34.14, 28
35.87, 99
37.78, 20
47.01, 23
51.90, 29
64.93, 21

```
La3Ir
1.0
12.142 0.000 0.000
0.000 12.142 0.000
0.000 0.000 6.605
La Ir
24 8
Cartesian
0.426 7.233 1.282
1.162 11.716 4.585
1.358 8.180 4.567
1.484 2.281 0.110
2.110 10.783 1.265
2.281 4.587 3.193
3.790 1.484 3.193
3.961 7.429 1.265
4.587 3.790 0.110
4.712 10.032 4.567
4.909 6.497 4.585
5.645 10.980 1.282
6.497 1.162 5.323
7.233 5.645 2.020
7.429 2.110 2.037
7.555 8.352 6.495
8.180 4.712 5.340
8.352 10.658 3.412
9.861 7.555 3.412
10.032 1.358 5.340
10.658 9.861 6.495
10.783 3.961 2.037
10.980 0.426 2.020
11.716 4.909 5.323
0.791 2.139 3.265
2.139 5.280 0.037
3.932 0.791 0.037
5.280 3.932 3.265
6.862 8.210 3.339
8.210 11.351 6.568
10.003 6.862 6.568
11.351 10.003 3.339
```

---

# 2
The following is a simulated powder XRD pattern of La2Ir7. It was derived from a cell relaxed with GGA-PBE, using copper Kα.
Intensities are scaled so that the largest is 100.

Top 12 peaks for 2θ from 10° to 90°, low angle first:
Position (°2θ), I (rel.)
19.29, 21
30.39, 16
33.20, 20
38.68, 27
39.12, 100
40.87, 29
42.25, 40
43.83, 21
45.62, 15
63.30, 25
69.70, 26
84.08, 23

```
La2Ir7
1.0
5.396 0.000 0.000
-2.698 4.673 0.000
0.000 0.000 26.499
La Ir
8 28
Cartesian
0.000 3.116 0.757
0.000 3.116 4.618
0.000 3.116 8.632
0.000 3.116 12.492
2.698 1.558 14.007
2.698 1.558 17.867
2.698 1.558 21.882
2.698 1.558 25.742
0.000 0.000 0.000
0.000 0.000 4.453
0.000 0.000 8.797
0.000 0.000 13.250
0.000 0.000 17.703
0.000 0.000 22.046
0.000 1.548 15.549
0.000 1.548 24.200
-1.357 3.899 15.549
-1.357 3.899 24.200
0.000 1.569 19.875
-1.340 3.889 19.875
1.341 0.774 2.299
1.341 0.774 10.950
0.000 3.116 17.664
0.000 3.116 22.085
1.358 0.784 6.625
1.340 3.889 19.875
2.698 1.558 4.414
2.698 1.558 8.836
1.357 3.899 15.549
1.357 3.899 24.200
4.038 0.784 6.625
2.698 3.105 6.625
4.055 0.774 2.299
4.055 0.774 10.950
2.698 3.125 2.299
2.698 3.125 10.950
```

---

# 3
The following is a simulated powder XRD pattern of La8Ir3. It was derived from a cell relaxed with GGA-PBE, using copper Kα.
Intensities are scaled so that the largest is 100.

Top 12 peaks for 2θ from 10° to 90°, low angle first:
Position (°2θ), I (rel.)
12.43, 17
21.61, 28
28.02, 100
30.71, 43
35.59, 20
35.70, 24
37.93, 14
42.04, 50
42.13, 15
47.80, 40
52.99, 15
68.51, 15

```
La8Ir3
1.0
5.030 2.904 4.125
-5.030 2.904 4.125
0.000 -5.808 4.125
La Ir
8 3
Cartesian
0.000 0.000 1.937
-0.841 -2.406 4.782
-1.663 1.931 4.782
-2.504 -0.475 7.593
2.504 0.475 4.782
1.663 -1.931 7.593
0.841 2.406 7.593
0.000 0.000 10.438
-5.030 0.000 6.187
-2.515 1.452 2.062
2.515 1.452 2.062
```

---

# 4
The following is a simulated powder XRD pattern of La2Ir. It was derived from a cell relaxed with GGA-PBE, using copper Kα.
Intensities are scaled so that the largest is 100.

Top 12 peaks for 2θ from 10° to 90°, low angle first:
Position (°2θ), I (rel.)
21.70, 39
25.10, 4
35.80, 100
42.25, 21
51.53, 18
56.55, 9
58.15, 2
64.33, 36
68.76, 7
75.86, 11
80.01, 7
86.83, 16

```
La2Ir
1.0
7.094 0.000 0.000
0.000 7.094 0.000
0.000 0.000 7.094
La Ir
8 4
Cartesian
1.774 1.774 1.774
1.774 1.774 5.321
1.774 5.321 1.774
1.774 5.321 5.321
5.321 1.774 1.774
5.321 1.774 5.321
5.321 5.321 1.774
5.321 5.321 5.321
0.000 0.000 0.000
0.000 3.547 3.547
3.547 0.000 3.547
3.547 3.547 0.000
```

---

# 5
The following is a simulated powder XRD pattern of LiLa6Ir4. It was derived from a cell relaxed with GGA-PBE, using copper Kα.
Intensities are scaled so that the largest is 100.

Top 12 peaks for 2θ from 10° to 90°, low angle first:
Position (°2θ), I (rel.)
22.45, 25
23.84, 45
29.87, 51
30.92, 36
31.98, 67
33.97, 100
37.68, 78
40.26, 62
42.74, 46
44.31, 37
55.67, 28
71.50, 26

```
LiLa6Ir4
1.0
4.234 -4.228 0.000
4.234 4.228 0.000
-4.225 0.000 7.922
Li La Ir
1 6 4
Cartesian
0.000 0.000 0.000
-2.103 2.110 7.920
-1.800 0.000 5.037
4.240 1.804 2.882
-2.103 -2.110 7.920
1.813 0.000 5.041
4.240 -1.804 2.882
0.007 2.575 5.783
1.663 0.000 2.137
0.007 -2.575 5.783
6.818 0.000 2.135
```

---

# 6
The following is a simulated powder XRD pattern of Li2LaIr2O7. It was derived from a cell relaxed with GGA-PBE, using copper Kα.
Intensities are scaled so that the largest is 100.

Top 12 peaks for 2θ from 10° to 90°, low angle first:
Position (°2θ), I (rel.)
18.91, 40
26.70, 85
27.19, 75
32.48, 100
32.92, 77
33.33, 74
38.36, 32
45.98, 32
47.20, 30
51.11, 47
57.96, 32
58.74, 31

```
Li2LaIr2O7
1.0
-1.926 1.974 9.387
1.926 -1.974 9.387
1.926 1.974 -9.387
Li La Ir O
2 1 2 7
Cartesian
0.000 0.000 4.677
0.000 0.000 14.096
0.000 1.974 0.000
1.926 0.000 2.129
0.000 1.974 7.258
1.926 0.000 0.000
0.000 0.000 1.912
1.926 0.000 4.072
0.000 0.000 7.656
0.000 0.000 11.117
0.000 1.974 5.315
0.000 0.000 16.862
```

---

# 7
The following is a simulated powder XRD pattern of La8MgIr2. It was derived from a cell relaxed with GGA-PBE, using copper Kα.
Intensities are scaled so that the largest is 100.

Top 12 peaks for 2θ from 10° to 90°, low angle first:
Position (°2θ), I (rel.)
12.89, 53
15.57, 33
20.00, 29
20.25, 37
25.64, 38
25.95, 49
30.18, 44
31.05, 58
31.47, 100
31.84, 62
35.30, 52
38.50, 30

```
La8MgIr2
1.0
6.412 -4.386 0.000
6.412 4.386 0.000
-2.847 0.000 6.867
La Mg Ir
8 1 2
Cartesian
2.938 2.694 4.848
-0.105 0.000 5.572
7.039 2.694 2.019
3.978 0.000 2.118
5.999 0.000 4.748
2.938 -2.694 4.848
10.082 0.000 1.295
7.039 -2.694 2.019
6.412 0.000 0.000
2.332 0.000 4.284
7.645 0.000 2.583
```

---

# 8
The following is a simulated powder XRD pattern of La3Mg2Ir3. It was derived from a cell relaxed with GGA-PBE, using copper Kα.
Intensities are scaled so that the largest is 100.

Top 12 peaks for 2θ from 10° to 90°, low angle first:
Position (°2θ), I (rel.)
21.01, 64
29.99, 55
35.76, 100
36.86, 99
47.27, 42
48.18, 32
57.06, 26
65.75, 16
69.75, 22
71.79, 12
74.62, 12
85.50, 13

```
La3Mg2Ir3
1.0
8.458 0.000 0.000
-4.229 7.324 0.000
0.000 0.000 5.960
La Mg Ir
6 4 6
Cartesian
-1.156 2.003 1.490
-3.072 5.322 4.470
2.313 0.000 1.490
1.156 2.003 4.470
6.145 0.000 4.470
3.072 5.322 1.490
0.000 4.883 0.000
0.000 4.883 2.980
4.229 2.441 0.000
4.229 2.441 2.980
-1.661 2.876 4.470
-2.568 4.448 1.490
3.321 0.000 4.470
1.661 2.876 1.490
5.136 0.000 1.490
2.568 4.448 4.470
```

---

# 9
The following is a simulated powder XRD pattern of LaMg9Ir2. It was derived from a cell relaxed with GGA-PBE, using copper Kα.
Intensities are scaled so that the largest is 100.

Top 12 peaks for 2θ from 10° to 90°, low angle first:
Position (°2θ), I (rel.)
13.93, 28
20.77, 100
21.75, 18
28.07, 38
30.25, 55
30.95, 33
34.02, 25
36.25, 25
40.79, 21
42.27, 52
43.83, 20
53.09, 20

```
LaMg9Ir2
1.0
-5.779 5.779 3.806
5.779 -5.779 3.806
5.779 5.779 -3.806
La Mg Ir
2 18 4
Cartesian
5.779 2.889 0.951
0.000 2.889 2.854
5.779 -2.889 2.854
4.368 -0.599 1.495
7.190 -0.599 1.495
2.290 1.478 0.408
9.268 1.478 0.408
4.368 5.179 -1.495
1.411 -0.599 2.310
2.290 4.301 0.408
3.489 -1.478 4.213
2.290 7.257 -0.408
3.489 1.478 3.398
4.368 6.378 1.495
1.411 0.599 5.301
-3.489 4.301 3.398
3.489 4.301 3.398
-1.411 6.378 2.310
1.411 6.378 2.310
0.000 8.668 0.951
0.000 0.000 0.000
2.889 2.889 -1.903
2.889 -2.889 1.903
0.000 5.779 0.000
```

---

# 10
The following is a simulated powder XRD pattern of LaMg4Ir2. It was derived from a cell relaxed with GGA-PBE, using copper Kα.
Intensities are scaled so that the largest is 100.

Top 12 peaks for 2θ from 10° to 90°, low angle first:
Position (°2θ), I (rel.)
14.91, 44
23.68, 75
26.40, 91
30.09, 47
32.31, 100
37.38, 31
38.94, 82
40.45, 33
44.14, 29
44.47, 48
63.84, 31
64.45, 32

```
LaMg4Ir2
1.0
8.400 0.000 0.000
0.000 8.400 0.000
0.000 0.000 4.104
La Mg Ir
2 8 4
Cartesian
0.000 0.000 0.000
4.200 4.200 2.052
0.828 2.836 2.052
1.365 5.029 0.000
2.836 0.828 2.052
3.372 7.036 0.000
5.029 1.365 0.000
5.565 7.572 2.052
7.036 3.372 0.000
7.572 5.565 2.052
1.611 6.789 2.052
2.589 2.589 0.000
5.811 5.811 0.000
6.789 1.611 2.052
```